Cs2BaPbF6: calculated powder XRD pattern (Cu Kα (weighted mean of Kα1 and Kα2)), based on DFT lattice parameters and positions (PBE).

Top 12 peaks for 2θ from 10° to 90°, in order of rising 2θ:
| two_theta | d (Å) | I (rel.) | (hkl) |
| --- | --- | --- | --- |
| 25.1 | 3.554 | 100 | 1 1 0 |
| 35.7 | 2.516 | 22 | 2 0 0 |
| 35.8 | 2.506 | 11 | 0 0 4 |
| 44.1 | 2.052 | 44 | 2 1 2 |
| 51.3 | 1.779 | 8 | 2 2 0 |
| 51.5 | 1.776 | 15 | 2 0 4 |
| 58.0 | 1.591 | 14 | 3 1 0 |
| 64.2 | 1.451 | 7 | 2 2 4 |
| 70.0 | 1.344 | 15 | 3 2 2 |
| 70.2 | 1.341 | 7 | 2 1 6 |
| 81.1 | 1.186 | 7 | 3 3 0 |
| 86.5 | 1.125 | 7 | 4 2 0 |

Crystal structure
```
Cs2BaPbF6
1.0
5.033 0.000 0.000
0.000 5.033 0.000
0.000 0.000 10.024
Cs Ba Pb F
2 1 1 6
direct
0.000 0.000 0.238
0.000 0.000 0.762
0.500 0.500 0.500
0.500 0.500 0.000
0.000 0.500 0.000
0.000 0.500 0.500
0.500 0.000 0.000
0.500 0.000 0.500
0.500 0.500 0.240
0.500 0.500 0.760
```